Computed powder diffraction line list
Compound: ThV2O6
Radiation: Cu Kα, 1.54184 Å
Structure: a cell relaxed with PBE+U

Cell and atoms:
```
ThV2O6
1.0
4.8116 0.0000 0.0000
0.0000 4.8116 0.0000
0.0000 0.0000 9.7149
Th V O
2 4 12
Direct
0.0000 0.0000 0.0000
0.5000 0.5000 0.5000
0.0000 0.0000 0.3383
0.0000 0.0000 0.6617
0.5000 0.5000 0.1617
0.5000 0.5000 0.8383
0.1743 0.1743 0.5000
0.2256 0.2256 0.1844
0.2256 0.2256 0.8156
0.2744 0.7256 0.3156
0.2744 0.7256 0.6844
0.3257 0.6743 0.0000
0.6743 0.3257 0.0000
0.7256 0.2744 0.3156
0.7256 0.2744 0.6844
0.7744 0.7744 0.1844
0.7744 0.7744 0.8156
0.8257 0.8257 0.5000
```

Main lines, sorted by position (10 to 90 degrees two-theta):
| index | 2θ (°) | I_rel |
| --- | --- | --- |
| 0 0 2 | 18.3 | 27 |
| 1 0 1 | 20.6 | 75 |
| 1 1 0 | 26.2 | 100 |
| 1 1 2 | 32.1 | 36 |
| 1 0 3 | 33.4 | 86 |
| 2 0 2 | 41.9 | 22 |
| 2 1 1 | 43.1 | 30 |
| 2 1 3 | 51.0 | 66 |